Computed PXRD pattern
Compound: MgNbH
Radiation: copper Kα
Structure: a crystal structure in Alexandria, relaxed with PBE
Neutral-atom scattering factors, no anomalous dispersion.

Crystal structure
a = 3.0496 Å, b = 3.0561 Å, c = 10.0060 Å
α = 87.22°, β = 86.56°, γ = 64.54°
Space group P-1 (No. 2)
One atom of each set of equivalent atoms:
Mg (0.1582, 0.1685, 0.1285) (multiplicity 2)
Nb (0.2382, 0.2221, 0.6167) (multiplicity 2)
H (0.4362, 0.4408, 0.3001) (multiplicity 2)

Top 10 peaks for 10° ≤ 2θ ≤ 90°, in order of rising 2θ:
2θ/deg, I (rel.)
33.44, 35.2
34.83, 73.3
35.42, 23.8
35.98, 88.0
36.60, 100.0
36.82, 75.4
37.65, 76.4
38.03, 73.3
49.17, 25.4
56.46, 31.7


Computed PXRD pattern
Compound: MgNbH
Radiation: copper Kα
Structure: a crystal structure in Alexandria, relaxed with PBE
Neutral-atom scattering factors, no anomalous dispersion.

Crystal structure
a = 3.0363 Å, b = 5.0255 Å, c = 5.4430 Å
α = 90.00°, β = 90.00°, γ = 90.00°
Space group Pmn2_1 (No. 31)
One atom of each set of equivalent atoms:
Mg (0.0000, 0.0055, 0.0000) (multiplicity 2)
Nb (0.0000, 0.4956, 0.6762) (multiplicity 2)
H (0.0000, 0.3320, 0.3469) (multiplicity 2)

Top 10 peaks for 10° ≤ 2θ ≤ 90°, in order of rising 2θ:
2θ/deg, I (rel.)
17.65, 76.4
32.91, 21.4
33.80, 44.3
35.73, 37.1
37.59, 56.3
38.38, 100.0
50.01, 29.4
59.34, 16.7
65.96, 19.4
71.23, 18.5


Computed PXRD pattern
Compound: MgNbH
Radiation: copper Kα
Structure: a crystal structure in Alexandria, relaxed with PBE
Neutral-atom scattering factors, no anomalous dispersion.

Crystal structure
a = 5.3171 Å, b = 5.8258 Å, c = 5.3011 Å
α = 90.00°, β = 90.00°, γ = 90.00°
Space group Pnma (No. 62)
One atom of each set of equivalent atoms:
Mg (0.0000, 0.0000, 0.0000) (multiplicity 4)
Nb (0.0010, 0.2500, 0.4896) (multiplicity 4)
H (0.1893, 0.7500, 0.8117) (multiplicity 4)

Top 10 peaks for 10° ≤ 2θ ≤ 90°, in order of rising 2θ:
2θ/deg, I (rel.)
23.70, 62.8
30.69, 17.1
33.71, 37.6
33.82, 36.8
39.14, 100.0
46.27, 19.8
48.50, 26.6
63.94, 28.4
64.08, 21.9
84.17, 20.0


Computed PXRD pattern
Compound: NdMgNi4H7
Radiation: copper Kα
Structure: a crystal structure in Alexandria, relaxed with PBE
Neutral-atom scattering factors, no anomalous dispersion.

Crystal structure
a = 7.6814 Å, b = 7.6814 Å, c = 7.6814 Å
α = 90.00°, β = 90.00°, γ = 90.00°
Space group F-43m (No. 216)
One atom of each set of equivalent atoms:
Nd (0.0000, 0.0000, 0.0000) (multiplicity 4)
Mg (0.2500, 0.2500, 0.2500) (multiplicity 4)
Ni (0.1234, 0.1234, 0.6234) (multiplicity 16)
H (0.0000, 0.0000, 0.5000) (multiplicity 4)
H (0.0096, 0.2500, 0.7500) (multiplicity 24)

Top 10 peaks for 10° ≤ 2θ ≤ 90°, in order of rising 2θ:
2θ/deg, I (rel.)
20.02, 16.7
23.16, 20.6
32.98, 32.4
38.89, 100.0
40.69, 35.6
58.90, 12.3
62.87, 31.5
69.18, 23.1
82.31, 10.5
83.48, 11.6


Computed PXRD pattern
Compound: NdMgNi4H4
Radiation: copper Kα
Structure: a crystal structure in Alexandria, relaxed with PBE
Neutral-atom scattering factors, no anomalous dispersion.

Crystal structure
a = 5.0564 Å, b = 5.4947 Å, c = 7.3582 Å
α = 90.00°, β = 90.00°, γ = 90.00°
Space group Pmn2_1 (No. 31)
One atom of each set of equivalent atoms:
Nd (0.0000, 0.2004, 0.0000) (multiplicity 2)
Mg (0.0000, 0.6821, 0.2211) (multiplicity 2)
Ni (0.0000, 0.0519, 0.6202) (multiplicity 2)
Ni (0.0000, 0.5077, 0.6012) (multiplicity 2)
Ni (0.2448, 0.2716, 0.3765) (multiplicity 4)
H (0.0000, 0.5578, 0.8222) (multiplicity 2)
H (0.0000, 0.7794, 0.5092) (multiplicity 2)
H (0.2486, 0.0105, 0.2564) (multiplicity 4)

Top 10 peaks for 10° ≤ 2θ ≤ 90°, in order of rising 2θ:
2θ/deg, I (rel.)
23.92, 60.9
24.19, 34.0
34.28, 68.5
39.28, 97.4
40.27, 64.2
40.89, 45.7
41.00, 50.4
41.17, 100.0
43.43, 63.5
72.22, 37.8


Computed PXRD pattern
Compound: MgNi7H6
Radiation: copper Kα
Structure: a crystal structure in Alexandria, relaxed with PBE
Neutral-atom scattering factors, no anomalous dispersion.

Crystal structure
a = 4.4830 Å, b = 4.4830 Å, c = 19.3064 Å
α = 90.00°, β = 90.00°, γ = 120.00°
Space group R3 (No. 146, hexagonal axes)
One atom of each set of equivalent atoms:
Mg (0.0000, 0.0000, 0.0000) (multiplicity 3)
Ni (0.0000, 0.0000, 0.3333) (multiplicity 3)
Ni (0.0001, 0.3301, 0.8869) (multiplicity 9)
Ni (0.9998, 0.6687, 0.1132) (multiplicity 9)
H (0.0123, 0.6507, 0.9322) (multiplicity 9)
H (0.0133, 0.3611, 0.0680) (multiplicity 9)

Top 10 peaks for 10° ≤ 2θ ≤ 90°, in order of rising 2θ:
2θ/deg, I (rel.)
13.76, 32.2
23.37, 7.0
42.12, 33.5
42.72, 100.0
49.56, 68.7
72.29, 18.6
73.12, 18.6
87.37, 11.9
88.17, 21.0
88.57, 10.9


Computed PXRD pattern
Compound: MgNi3H3
Radiation: copper Kα
Structure: a crystal structure in Alexandria, relaxed with PBE
Neutral-atom scattering factors, no anomalous dispersion.

Crystal structure
a = 4.8722 Å, b = 4.8722 Å, c = 4.8722 Å
α = 90.00°, β = 90.00°, γ = 90.00°
Space group Pm-3n (No. 223)
One atom of each set of equivalent atoms:
Mg (0.0000, 0.0000, 0.0000) (multiplicity 2)
Ni (0.0000, 0.2500, 0.5000) (multiplicity 6)
H (0.0000, 0.5000, 0.2500) (multiplicity 6)

Top 10 peaks for 10° ≤ 2θ ≤ 90°, in order of rising 2θ:
2θ/deg, I (rel.)
25.86, 18.8
36.90, 18.2
41.44, 100.0
45.61, 38.8
53.17, 2.3
60.05, 3.0
66.48, 13.3
69.57, 19.5
72.60, 17.3
78.53, 10.1


Computed PXRD pattern
Compound: MgNi5H7
Radiation: copper Kα
Structure: a crystal structure in Alexandria, relaxed with PBE
Neutral-atom scattering factors, no anomalous dispersion.

Crystal structure
a = 2.7655 Å, b = 14.9258 Å, c = 4.5212 Å
α = 90.00°, β = 107.58°, γ = 90.00°
Space group P2_1/m (No. 11)
One atom of each set of equivalent atoms:
Mg (0.1771, 0.2500, 0.3654) (multiplicity 2)
Ni (0.0000, 0.0000, 0.0000) (multiplicity 2)
Ni (0.2783, 0.5784, 0.5509) (multiplicity 4)
Ni (0.4450, 0.1469, 0.9029) (multiplicity 4)
H (0.0895, 0.1033, 0.1816) (multiplicity 4)
H (0.1656, 0.6692, 0.3226) (multiplicity 4)
H (0.3620, 0.0360, 0.7289) (multiplicity 4)
H (0.4922, 0.7500, 0.9745) (multiplicity 2)

Top 10 peaks for 10° ≤ 2θ ≤ 90°, in order of rising 2θ:
2θ/deg, I (rel.)
11.86, 49.4
36.62, 15.7
38.69, 34.3
41.94, 100.0
42.03, 25.4
42.38, 17.8
45.88, 20.8
46.03, 13.5
49.17, 12.1
49.35, 12.2